(1)
For CsCrCdH6, DFT lattice parameters and positions (GGA-PBE) gives the simulated XRD peak list in this record (Cu Kα (weighted mean of Kα1 and Kα2)).

Structure:
```
data_CsCrCdH6
_chemical_formula_sum 'Cs1 Cr1 Cd1 H6'
_cell_length_a 5.0769
_cell_length_b 5.0769
_cell_length_c 5.9639
_cell_angle_alpha 90.00
_cell_angle_beta 90.00
_cell_angle_gamma 120.00
_symmetry_space_group_name_H-M 'P -6 m 2'
_symmetry_Int_Tables_number 187
_symmetry_space_group_name_Hall 'P -6 2'
loop_
_atom_site_label
_atom_site_type_symbol
_atom_site_fract_x
_atom_site_fract_y
_atom_site_fract_z
Cs1 Cs 0.0000 0.0000 0.0000
Cr1 Cr 0.6667 0.3333 0.5000
Cd1 Cd 0.3333 0.6667 0.5000
H1 H 0.5219 0.0438 0.3059
```

Principal peaks in the range 2θ from 15° to 90°, in order of rising 2θ:
3.539 Å, I 100.0; 2.982 Å, I 18.4; 2.538 Å, I 36.4; 2.063 Å, I 21.2; 1.933 Å, I 32.4; 1.811 Å, I 14.1; 1.601 Å, I 19.1; 1.315 Å, I 8.8



(2)
For Ca3GaBi3, DFT lattice parameters and positions (GGA-PBE) gives the simulated XRD peak list in this record (Cu Kα (weighted mean of Kα1 and Kα2)).

Structure:
```
data_Ca3GaBi3
_chemical_formula_sum 'Ca24 Ga8 Bi24'
_cell_length_a 20.3656
_cell_length_b 6.7866
_cell_length_c 13.2533
_cell_angle_alpha 90.00
_cell_angle_beta 90.00
_cell_angle_gamma 90.00
_symmetry_space_group_name_H-M 'C m c e'
_symmetry_Int_Tables_number 64
_symmetry_space_group_name_Hall '-C 2ac 2'
loop_
_atom_site_label
_atom_site_type_symbol
_atom_site_fract_x
_atom_site_fract_y
_atom_site_fract_z
Ca1 Ca 0.0000 0.2009 0.1338
Ca2 Ca 0.1773 0.2094 0.8791
Ga1 Ga 0.0890 0.0000 0.5000
Bi1 Bi 0.0000 0.2184 0.3788
Bi2 Bi 0.1630 0.2316 0.6331
```

Principal peaks in the range 2θ from 15° to 90°, in order of rising 2θ:
3.887 Å, I 100.0; 3.394 Å, I 64.9; 3.313 Å, I 32.1; 2.400 Å, I 36.6; 2.371 Å, I 72.8; 2.042 Å, I 20.7; 1.944 Å, I 25.1; 1.380 Å, I 20.1